Entry 1:
Sm4ErTh: simulated powder diffractogram (λ = 1.5418 Å (Cu Kα)), based on the GGA-PBE geometry in Alexandria.
Peak positions follow from Bragg's law for the DFT cell and can differ from measured ones.

The 6 most intense peaks (10° ≤ 2θ ≤ 90°), in order of rising 2θ:
d_spacing	2θ/deg	I (rel.)	index
2.945	30.36	99	2 0 2
2.934	30.47	98	1 1 -2
2.546	35.26	100	3 1 0
1.800	50.72	48	1 1 4
1.537	60.21	36	5 1 2
1.533	60.40	28	2 2 2

Crystal structure
```
data_Sm4ErTh
_chemical_formula_sum 'Sm8 Er2 Th2'
_cell_length_a 11.959
_cell_length_b 3.590
_cell_length_c 10.185
_cell_angle_alpha 90.00
_cell_angle_beta 115.13
_cell_angle_gamma 90.00
_symmetry_space_group_name_H-M 'C 1 2/m 1'
_symmetry_Int_Tables_number 12
loop_
_symmetry_equiv_pos_as_xyz
'x,y,z'
'-x,-y,-z'
'-x,y,-z'
'x,-y,z'
'x+1/2,y+1/2,z'
'-x+1/2,-y+1/2,-z'
'-x+1/2,y+1/2,-z'
'x+1/2,-y+1/2,z'
loop_
_atom_site_label
_atom_site_type_symbol
_atom_site_fract_x
_atom_site_fract_y
_atom_site_fract_z
Sm1 Sm 0.163 0.000 0.330
Sm2 Sm 0.165 0.000 0.836
Er1 Er 0.000 0.500 0.500
Th1 Th 0.000 0.500 0.000
```



Entry 2:
SmEr6Th: simulated powder diffractogram (λ = 1.5418 Å (Cu Kα)), based on the GGA-PBE geometry in Alexandria.
Peak positions follow from Bragg's law for the DFT cell and can differ from measured ones.

The 6 most intense peaks (10° ≤ 2θ ≤ 90°), in order of rising 2θ:
d_spacing	2θ/deg	I (rel.)	index
2.883	31.02	100	1 1 2
2.497	35.97	51	2 0 0
1.765	51.79	36	2 2 0
1.505	61.61	43	3 1 2
1.441	64.67	12	2 2 4
1.145	84.60	18	3 3 2

Crystal structure
```
data_SmEr6Th
_chemical_formula_sum 'Sm1 Er6 Th1'
_cell_length_a 4.996
_cell_length_b 4.996
_cell_length_c 9.976
_cell_angle_alpha 90.00
_cell_angle_beta 90.00
_cell_angle_gamma 90.00
_symmetry_space_group_name_H-M 'P 4/m m m'
_symmetry_Int_Tables_number 123
_symmetry_space_group_name_Hall '-P 4 2'
loop_
_atom_site_label
_atom_site_type_symbol
_atom_site_fract_x
_atom_site_fract_y
_atom_site_fract_z
Sm1 Sm 0.000 0.000 0.000
Er1 Er 0.000 0.500 0.253
Er2 Er 0.500 0.500 0.000
Er3 Er 0.500 0.500 0.500
Th1 Th 0.000 0.000 0.500
```



Entry 3:
SmEr5Tm2Th: simulated powder diffractogram (λ = 1.5418 Å (Cu Kα)), based on the GGA-PBE geometry in Alexandria.
Peak positions follow from Bragg's law for the DFT cell and can differ from measured ones.

The 6 most intense peaks (10° ≤ 2θ ≤ 90°), in order of rising 2θ:
d_spacing	2θ/deg	I (rel.)	index
3.096	28.84	52	2 2 0
3.066	29.13	47	2 1 3
2.824	31.69	100	2 0 4
2.769	32.33	19	3 1 0
2.101	43.06	24	4 0 2
1.730	52.92	21	4 2 4

Crystal structure
```
data_SmEr5Tm2Th
_chemical_formula_sum 'Sm4 Er20 Tm8 Th4'
_cell_length_a 8.756
_cell_length_b 8.756
_cell_length_c 14.782
_cell_angle_alpha 90.00
_cell_angle_beta 90.00
_cell_angle_gamma 90.00
_symmetry_space_group_name_H-M 'I 4/m c m'
_symmetry_Int_Tables_number 140
_symmetry_space_group_name_Hall '-I 4 2c'
loop_
_atom_site_label
_atom_site_type_symbol
_atom_site_fract_x
_atom_site_fract_y
_atom_site_fract_z
Sm1 Sm 0.000 0.500 0.250
Er1 Er 0.000 0.000 0.000
Er2 Er 0.207 0.293 0.135
Tm1 Tm 0.114 0.386 0.500
Th1 Th 0.000 0.000 0.250
```



Entry 4:
Sm2Y4Er2Th: simulated powder diffractogram (λ = 1.5418 Å (Cu Kα)), based on the GGA-PBE geometry in Alexandria.
Peak positions follow from Bragg's law for the DFT cell and can differ from measured ones.

The 6 most intense peaks (10° ≤ 2θ ≤ 90°), in order of rising 2θ:
d_spacing	2θ/deg	I (rel.)	index
3.098	28.82	48	3 1 -1
2.869	31.18	47	0 0 3
2.809	31.85	100	6 0 0
2.671	33.56	88	6 0 -3
1.802	50.67	36	0 2 0
1.526	60.69	28	0 2 3

Crystal structure
```
data_Sm2Y4Er2Th
_chemical_formula_sum 'Sm4 Y8 Er4 Th2'
_cell_length_a 18.716
_cell_length_b 3.604
_cell_length_c 9.555
_cell_angle_alpha 90.00
_cell_angle_beta 115.75
_cell_angle_gamma 90.00
_symmetry_space_group_name_H-M 'C 1 2/m 1'
_symmetry_Int_Tables_number 12
loop_
_symmetry_equiv_pos_as_xyz
'x,y,z'
'-x,-y,-z'
'-x,y,-z'
'x,-y,z'
'x+1/2,y+1/2,z'
'-x+1/2,-y+1/2,-z'
'-x+1/2,y+1/2,-z'
'x+1/2,-y+1/2,z'
loop_
_atom_site_label
_atom_site_type_symbol
_atom_site_fract_x
_atom_site_fract_y
_atom_site_fract_z
Sm1 Sm 0.164 0.000 0.000
Y1 Y 0.018 0.000 0.331
Y2 Y 0.185 0.500 0.333
Er1 Er 0.148 0.500 0.664
Th1 Th 0.000 0.500 0.000
```



Entry 5:
SmY3Er6Th2: simulated powder diffractogram (λ = 1.5418 Å (Cu Kα)), based on the GGA-PBE geometry in Alexandria.
Peak positions follow from Bragg's law for the DFT cell and can differ from measured ones.

The 6 most intense peaks (10° ≤ 2θ ≤ 90°), in order of rising 2θ:
d_spacing	2θ/deg	I (rel.)	index
2.900	30.83	100	1 3 1
2.882	31.04	33	0 0 4
2.508	35.81	67	2 0 2
1.778	51.40	24	0 6 0
1.769	51.67	24	1 3 5
1.514	61.23	28	3 3 3

Crystal structure
```
data_SmY3Er6Th2
_chemical_formula_sum 'Sm2 Y6 Er12 Th4'
_cell_length_a 6.160
_cell_length_b 10.661
_cell_length_c 11.708
_cell_angle_alpha 90.00
_cell_angle_beta 100.11
_cell_angle_gamma 90.00
_symmetry_space_group_name_H-M 'C 1 2/m 1'
_symmetry_Int_Tables_number 12
loop_
_symmetry_equiv_pos_as_xyz
'x,y,z'
'-x,-y,-z'
'-x,y,-z'
'x,-y,z'
'x+1/2,y+1/2,z'
'-x+1/2,-y+1/2,-z'
'-x+1/2,y+1/2,-z'
'x+1/2,-y+1/2,z'
loop_
_atom_site_label
_atom_site_type_symbol
_atom_site_fract_x
_atom_site_fract_y
_atom_site_fract_z
Sm1 Sm 0.000 0.000 0.000
Y1 Y 0.000 0.166 0.500
Y2 Y 0.000 0.500 0.500
Er1 Er 0.245 0.500 0.248
Er2 Er 0.248 0.331 0.752
Th1 Th 0.000 0.333 0.000
```



Entry 6:
Sm2Y6Er2Th: simulated powder diffractogram (λ = 1.5418 Å (Cu Kα)), based on the GGA-PBE geometry in Alexandria.
Peak positions follow from Bragg's law for the DFT cell and can differ from measured ones.

The 6 most intense peaks (10° ≤ 2θ ≤ 90°), in order of rising 2θ:
d_spacing	2θ/deg	I (rel.)	index
2.925	30.56	25	1 1 3
2.886	30.98	19	0 4 1
2.844	31.45	35	2 0 0
2.788	32.10	100	1 3 2
2.668	33.59	21	0 0 4
1.631	56.41	20	3 3 2

Crystal structure
```
data_Sm2Y6Er2Th
_chemical_formula_sum 'Sm4 Y12 Er4 Th2'
_cell_length_a 5.688
_cell_length_b 11.992
_cell_length_c 10.672
_cell_angle_alpha 90.00
_cell_angle_beta 90.00
_cell_angle_gamma 90.00
_symmetry_space_group_name_H-M 'C m m m'
_symmetry_Int_Tables_number 65
_symmetry_space_group_name_Hall '-C 2 2'
loop_
_atom_site_label
_atom_site_type_symbol
_atom_site_fract_x
_atom_site_fract_y
_atom_site_fract_z
Sm1 Sm 0.000 0.137 0.000
Y1 Y 0.000 0.000 0.289
Y2 Y 0.000 0.347 0.214
Er1 Er 0.000 0.200 0.500
Th1 Th 0.000 0.500 0.500
```